# 1
TiO2: theoretical X-ray powder pattern (Cu Kα X-rays), based on a structure optimized by DFT (PBE).
Lines closer than 0.1° are merged.

Top 8 peaks for 2θ = 10–80°, in order of rising 2θ:
13.99 deg, d 6.329, rel. 41, hkl 0 0 1
15.05 deg, d 5.886, rel. 34, hkl 2 0 0
24.82 deg, d 3.588, rel. 100, hkl 1 1 0
28.20 deg, d 3.164, rel. 59, hkl 0 0 2
29.51 deg, d 3.027, rel. 36, hkl 4 0 -1
42.87 deg, d 2.110, rel. 29, hkl 0 0 3
44.16 deg, d 2.051, rel. 27, hkl 6 0 -1
48.32 deg, d 1.883, rel. 38, hkl 0 2 0

Crystal structure
```
data_TiO2
_chemical_formula_sum 'Ti8 O16'
_cell_length_a 12.307
_cell_length_b 3.767
_cell_length_c 6.616
_cell_angle_alpha 90.00
_cell_angle_beta 106.95
_cell_angle_gamma 90.00
_symmetry_space_group_name_H-M 'C 1 2/m 1'
_symmetry_Int_Tables_number 12
loop_
_symmetry_equiv_pos_as_xyz
'x,y,z'
'-x,-y,-z'
'-x,y,-z'
'x,-y,z'
'x+1/2,y+1/2,z'
'-x+1/2,-y+1/2,-z'
'-x+1/2,y+1/2,-z'
'x+1/2,-y+1/2,z'
loop_
_atom_site_label
_atom_site_type_symbol
_atom_site_fract_x
_atom_site_fract_y
_atom_site_fract_z
Ti1 Ti 0.100 0.000 0.210
Ti2 Ti 0.195 0.000 0.784
O1 O 0.058 0.000 0.870
O2 O 0.133 0.000 0.505
O3 O 0.138 0.500 0.207
O4 O 0.237 0.500 0.848
```


# 2
TiO2: theoretical X-ray powder pattern (Cu Kα X-rays), based on a structure optimized by DFT (PBE).
Lines closer than 0.1° are merged.

Top 8 peaks for 2θ = 10–80°, in order of rising 2θ:
12.68 deg, d 6.982, rel. 100, hkl 0 0 3
25.52 deg, d 3.491, rel. 6, hkl 0 0 6
35.67 deg, d 2.517, rel. 11, hkl 0 1 2
40.93 deg, d 2.205, rel. 15, hkl 0 1 5
49.47 deg, d 1.842, rel. 9, hkl 0 1 8
56.47 deg, d 1.629, rel. 3, hkl 1 0 10
61.98 deg, d 1.497, rel. 4, hkl 1 1 0
63.55 deg, d 1.464, rel. 6, hkl 1 1 3

Crystal structure
```
data_TiO2
_chemical_formula_sum 'Ti3 O6'
_cell_length_a 2.9947
_cell_length_b 2.9947
_cell_length_c 20.9446
_cell_angle_alpha 90.00
_cell_angle_beta 90.00
_cell_angle_gamma 120.00
_symmetry_space_group_name_H-M 'R -3 m'
_symmetry_Int_Tables_number 166
_symmetry_space_group_name_Hall '-R 3 2"'
loop_
_atom_site_label
_atom_site_type_symbol
_atom_site_fract_x
_atom_site_fract_y
_atom_site_fract_z
Ti1 Ti 0.0000 0.0000 0.0000
O1 O 0.0000 0.0000 0.3795
```